Entry 1:
For Ce3Y2TmAs6, a PBE-relaxed structure gives the simulated PXRD pattern in this record (copper Kα).
Kinematic intensities with the Lorentz-polarization factor, no thermal factor.

Principal peaks in the range 10° ≤ 2θ ≤ 90°, in order of falling intensity:
| 2θ/deg | d_spacing | Rel. int. |
| --- | --- | --- |
| 30.38 | 2.942 | 100 |
| 43.50 | 2.080 | 74 |
| 53.95 | 1.700 | 20 |
| 79.81 | 1.202 | 19 |
| 71.67 | 1.317 | 17 |
| 71.81 | 1.315 | 16 |
| 63.21 | 1.471 | 12 |
| 26.21 | 3.400 | 9 |
| 54.10 | 1.695 | 6 |
| 80.02 | 1.199 | 6 |

Structure:
```
data_Ce3Y2TmAs6
_chemical_formula_sum 'Ce3 Y2 Tm1 As6'
_symmetry_space_group_name_H-M 'P 1'
_symmetry_Int_Tables_number 1
_cell_length_a 7.213
_cell_length_b 7.213
_cell_length_c 7.195
_cell_angle_alpha 99.62
_cell_angle_beta 99.62
_cell_angle_gamma 120.00
loop_
_symmetry_equiv_pos_as_xyz
'x,y,z'
loop_
_atom_site_label
_atom_site_type_symbol
_atom_site_fract_x
_atom_site_fract_y
_atom_site_fract_z
_atom_site_occupancy
Ce1 Ce 0.000 0.000 0.000 1
Ce2 Ce 0.333 0.667 0.000 1
Ce3 Ce 0.667 0.333 0.000 1
Y1 Y 0.166 0.834 0.500 1
Y2 Y 0.834 0.166 0.500 1
Tm1 Tm 0.500 0.500 0.500 1
As1 As 0.088 0.419 0.255 1
As2 As 0.251 0.251 0.745 1
As3 As 0.419 0.088 0.255 1
As4 As 0.581 0.912 0.745 1
As5 As 0.749 0.749 0.255 1
As6 As 0.912 0.581 0.745 1
```



Entry 2:
For Li3Ag, a PBE-relaxed structure gives the simulated PXRD pattern in this record (copper Kα).
Kinematic intensities with the Lorentz-polarization factor, no thermal factor.

Principal peaks in the range 10° ≤ 2θ ≤ 90°, in order of falling intensity:
| 2θ/deg | d_spacing | Rel. int. |
| --- | --- | --- |
| 16.85 | 5.262 | 100 |
| 26.00 | 3.427 | 70 |
| 19.66 | 4.515 | 69 |
| 38.78 | 2.322 | 51 |
| 39.65 | 2.273 | 32 |
| 37.51 | 2.398 | 28 |
| 31.62 | 2.830 | 21 |
| 33.08 | 2.708 | 19 |
| 34.07 | 2.631 | 17 |
| 43.63 | 2.075 | 17 |

Structure:
```
data_Li3Ag
_chemical_formula_sum 'Li3 Ag1'
_symmetry_space_group_name_H-M 'P 1'
_symmetry_Int_Tables_number 1
_cell_length_a 2.879
_cell_length_b 4.515
_cell_length_c 5.354
_cell_angle_alpha 90.00
_cell_angle_beta 100.59
_cell_angle_gamma 90.00
loop_
_symmetry_equiv_pos_as_xyz
'x,y,z'
loop_
_atom_site_label
_atom_site_type_symbol
_atom_site_fract_x
_atom_site_fract_y
_atom_site_fract_z
_atom_site_occupancy
Li1 Li 0.000 0.000 0.000 1
Li2 Li 0.219 0.500 0.737 1
Li3 Li 0.781 0.500 0.263 1
Ag1 Ag 0.500 0.000 0.500 1
```



Entry 3:
For UBIr, a PBE-relaxed structure gives the simulated PXRD pattern in this record (copper Kα).
Kinematic intensities with the Lorentz-polarization factor, no thermal factor.

Principal peaks in the range 10° ≤ 2θ ≤ 90°, in order of falling intensity:
| 2θ/deg | d_spacing | Rel. int. |
| --- | --- | --- |
| 40.52 | 2.226 | 100 |
| 32.90 | 2.722 | 96 |
| 32.73 | 2.736 | 54 |
| 45.65 | 1.987 | 50 |
| 57.30 | 1.608 | 45 |
| 76.20 | 1.249 | 39 |
| 80.90 | 1.188 | 29 |
| 68.70 | 1.366 | 28 |
| 66.55 | 1.405 | 17 |
| 86.33 | 1.127 | 11 |

Structure:
```
data_UBIr
_chemical_formula_sum 'U2 B2 Ir2'
_symmetry_space_group_name_H-M 'P 1'
_symmetry_Int_Tables_number 1
_cell_length_a 2.810
_cell_length_b 2.810
_cell_length_c 10.945
_cell_angle_alpha 90.00
_cell_angle_beta 90.00
_cell_angle_gamma 90.00
loop_
_symmetry_equiv_pos_as_xyz
'x,y,z'
loop_
_atom_site_label
_atom_site_type_symbol
_atom_site_fract_x
_atom_site_fract_y
_atom_site_fract_z
_atom_site_occupancy
U1 U 0.000 0.000 0.000 1
U2 U 0.500 0.500 0.500 1
B1 B 0.000 0.000 0.684 1
B2 B 0.500 0.500 0.184 1
Ir1 Ir 0.000 0.000 0.274 1
Ir2 Ir 0.500 0.500 0.774 1
```



What is the formula in the first record? Ce3Y2TmAs6



Copy entry 1 word for word.
For Ce3Y2TmAs6, a PBE-relaxed structure gives the simulated PXRD pattern in this record (copper Kα).
Kinematic intensities with the Lorentz-polarization factor, no thermal factor.

Principal peaks in the range 10° ≤ 2θ ≤ 90°, in order of falling intensity:
| 2θ/deg | d_spacing | Rel. int. |
| --- | --- | --- |
| 30.38 | 2.942 | 100 |
| 43.50 | 2.080 | 74 |
| 53.95 | 1.700 | 20 |
| 79.81 | 1.202 | 19 |
| 71.67 | 1.317 | 17 |
| 71.81 | 1.315 | 16 |
| 63.21 | 1.471 | 12 |
| 26.21 | 3.400 | 9 |
| 54.10 | 1.695 | 6 |
| 80.02 | 1.199 | 6 |

Structure:
```
data_Ce3Y2TmAs6
_chemical_formula_sum 'Ce3 Y2 Tm1 As6'
_symmetry_space_group_name_H-M 'P 1'
_symmetry_Int_Tables_number 1
_cell_length_a 7.213
_cell_length_b 7.213
_cell_length_c 7.195
_cell_angle_alpha 99.62
_cell_angle_beta 99.62
_cell_angle_gamma 120.00
loop_
_symmetry_equiv_pos_as_xyz
'x,y,z'
loop_
_atom_site_label
_atom_site_type_symbol
_atom_site_fract_x
_atom_site_fract_y
_atom_site_fract_z
_atom_site_occupancy
Ce1 Ce 0.000 0.000 0.000 1
Ce2 Ce 0.333 0.667 0.000 1
Ce3 Ce 0.667 0.333 0.000 1
Y1 Y 0.166 0.834 0.500 1
Y2 Y 0.834 0.166 0.500 1
Tm1 Tm 0.500 0.500 0.500 1
As1 As 0.088 0.419 0.255 1
As2 As 0.251 0.251 0.745 1
As3 As 0.419 0.088 0.255 1
As4 As 0.581 0.912 0.745 1
As5 As 0.749 0.749 0.255 1
As6 As 0.912 0.581 0.745 1
```